[1]
Theoretical X-ray powder pattern
Compound: NpBr3
Radiation: Cu Kα X-rays
Structure: a DFT-relaxed cell (GGA-PBE, the Materials Project)
Peak positions follow from Bragg's law for the DFT cell and can differ from measured ones.

The 10 most intense peaks (2θ = 15–90°), in order of rising 2θ:
index, d (Å), 2theta, I/Imax
0 0 2, 4.648, 19.1, 303
0 2 2, 3.900, 22.8, 248
1 1 1, 3.623, 24.6, 254
1 3 1, 2.948, 30.3, 1000
0 2 3, 2.842, 31.5, 526
1 1 3, 2.434, 36.9, 565
1 5 1, 2.277, 39.6, 386
1 3 3, 2.194, 41.1, 323
0 6 2, 2.126, 42.5, 292
2 4 2, 1.660, 55.3, 213

Structure:
```
data_NpBr3
_chemical_formula_sum 'Np4 Br12'
_symmetry_space_group_name_H-M 'C m c m'
_symmetry_Int_Tables_number 63
_symmetry_space_group_name_Hall '-C 2c 2'
_cell_length_a 4.090
_cell_length_b 14.341
_cell_length_c 9.297
_cell_angle_alpha 90.00
_cell_angle_beta 90.00
_cell_angle_gamma 90.00
loop_
_atom_site_label
_atom_site_type_symbol
_atom_site_fract_x
_atom_site_fract_y
_atom_site_fract_z
Np1 Np 0.000 0.241 0.250
Br1 Br 0.000 0.155 0.567
Br2 Br 0.000 0.402 0.750
```

***

[2]
Theoretical X-ray powder pattern
Compound: NpBr3
Radiation: Cu Kα X-rays
Structure: a DFT-relaxed cell (GGA-PBE, the Materials Project)
Peak positions follow from Bragg's law for the DFT cell and can differ from measured ones.

The 10 most intense peaks (2θ = 15–90°), in order of rising 2θ:
index, d (Å), 2theta, I/Imax
1 1 0, 3.994, 22.3, 258
1 0 1, 3.735, 23.8, 415
1 1 1, 2.968, 30.1, 399
2 0 1, 2.728, 32.8, 1000
2 1 0, 2.615, 34.3, 225
3 0 0, 2.306, 39.1, 386
2 1 1, 2.253, 40.0, 761
0 0 2, 2.218, 40.7, 230
3 0 2, 1.599, 57.7, 251
2 3 1, 1.494, 62.1, 357

Structure:
```
data_NpBr3
_chemical_formula_sum 'Np2 Br6'
_symmetry_space_group_name_H-M 'P 63/m'
_symmetry_Int_Tables_number 176
_symmetry_space_group_name_Hall '-P 6c'
_cell_length_a 7.9881
_cell_length_b 7.9881
_cell_length_c 4.4365
_cell_angle_alpha 90.00
_cell_angle_beta 90.00
_cell_angle_gamma 120.00
loop_
_atom_site_label
_atom_site_type_symbol
_atom_site_fract_x
_atom_site_fract_y
_atom_site_fract_z
Np1 Np 0.3333 0.6667 0.2500
Br1 Br 0.0862 0.3888 0.7500
```

***

[3]
Theoretical X-ray powder pattern
Compound: BrO4
Radiation: Cu Kα X-rays
Structure: a DFT-relaxed cell (GGA-PBE, the Materials Project)
Peak positions follow from Bragg's law for the DFT cell and can differ from measured ones.

The 10 most intense peaks (2θ = 15–90°), in order of rising 2θ:
index, d (Å), 2theta, I/Imax
0 1 1, 5.193, 17.1, 412
1 1 0, 4.800, 18.5, 481
1 1 -1, 4.455, 19.9, 419
1 2 0, 3.661, 24.3, 594
1 0 1, 3.549, 25.1, 364
1 2 -1, 3.501, 25.4, 481
1 1 1, 3.337, 26.7, 270
1 1 -2, 3.005, 29.7, 350
2 0 -1, 2.895, 30.9, 331
0 3 1, 2.882, 31.0, 1000

Structure:
```
data_BrO4
_chemical_formula_sum 'Br4 O16'
_symmetry_space_group_name_H-M 'P 1 21 1'
_symmetry_Int_Tables_number 4
_cell_length_a 5.835
_cell_length_b 9.808
_cell_length_c 6.490
_cell_angle_alpha 90.00
_cell_angle_beta 109.39
_cell_angle_gamma 90.00
loop_
_symmetry_equiv_pos_as_xyz
'x,y,z'
'-x,y+1/2,-z'
loop_
_atom_site_label
_atom_site_type_symbol
_atom_site_fract_x
_atom_site_fract_y
_atom_site_fract_z
Br1 Br 0.060 0.000 0.153
Br2 Br 0.365 0.841 0.722
O1 O 0.105 0.860 0.775
O2 O 0.143 0.076 0.397
O3 O 0.148 0.197 0.822
O4 O 0.163 0.583 0.037
O5 O 0.319 0.473 0.541
O6 O 0.322 0.143 0.964
O7 O 0.326 0.754 0.492
O8 O 0.416 0.416 0.719
```

***

[4]
Theoretical X-ray powder pattern
Compound: BrO4
Radiation: Cu Kα X-rays
Structure: a DFT-relaxed cell (GGA-PBE, the Materials Project)
Peak positions follow from Bragg's law for the DFT cell and can differ from measured ones.

The 10 most intense peaks (2θ = 15–90°), in order of rising 2θ:
index, d (Å), 2theta, I/Imax
1 1 0, 5.053, 17.6, 438
1 1 1, 3.892, 22.8, 750
1 2 1, 3.465, 25.7, 1000
1 3 0, 3.426, 26.0, 261
0 4 0, 3.296, 27.1, 727
0 2 2, 3.058, 29.2, 260
1 3 1, 2.991, 29.9, 425
2 2 -1, 2.455, 36.6, 208
0 1 3, 2.268, 39.7, 300
1 0 3, 2.040, 44.4, 223

Structure:
```
data_BrO4
_chemical_formula_sum 'Br4 O16'
_symmetry_space_group_name_H-M 'P 1 21 1'
_symmetry_Int_Tables_number 4
_cell_length_a 5.504
_cell_length_b 13.184
_cell_length_c 6.947
_cell_angle_alpha 90.00
_cell_angle_beta 96.36
_cell_angle_gamma 90.00
loop_
_symmetry_equiv_pos_as_xyz
'x,y,z'
'-x,y+1/2,-z'
loop_
_atom_site_label
_atom_site_type_symbol
_atom_site_fract_x
_atom_site_fract_y
_atom_site_fract_z
Br1 Br 0.098 0.000 0.080
Br2 Br 0.315 0.034 0.771
O1 O 0.005 0.232 0.505
O2 O 0.206 0.759 0.483
O3 O 0.286 0.446 0.568
O4 O 0.303 0.490 0.725
O5 O 0.323 0.777 0.008
O6 O 0.342 0.272 0.141
O7 O 0.420 0.561 0.336
O8 O 0.444 0.264 0.984
```

***

[5]
Theoretical X-ray powder pattern
Compound: BrO
Radiation: Cu Kα X-rays
Structure: a DFT-relaxed cell (GGA-PBE, the Materials Project)
Peak positions follow from Bragg's law for the DFT cell and can differ from measured ones.

The 10 most intense peaks (2θ = 15–90°), in order of rising 2θ:
index, d (Å), 2theta, I/Imax
0 0 3, 3.177, 28.1, 658
1 0 1, 3.088, 28.9, 1000
0 1 2, 2.693, 33.3, 898
1 0 4, 1.924, 47.2, 221
1 1 0, 1.884, 48.3, 428
0 1 5, 1.646, 55.9, 235
1 1 3, 1.621, 56.8, 487
0 2 1, 1.608, 57.3, 146
2 0 2, 1.544, 59.9, 157
1 1 6, 1.214, 78.8, 161

Structure:
```
data_BrO
_chemical_formula_sum 'Br3 O3'
_symmetry_space_group_name_H-M 'R 3 m'
_symmetry_Int_Tables_number 160
_symmetry_space_group_name_Hall 'R 3 -2"'
_cell_length_a 3.7686
_cell_length_b 3.7686
_cell_length_c 9.5296
_cell_angle_alpha 90.00
_cell_angle_beta 90.00
_cell_angle_gamma 120.00
loop_
_atom_site_label
_atom_site_type_symbol
_atom_site_fract_x
_atom_site_fract_y
_atom_site_fract_z
Br1 Br 0.0000 0.0000 0.0000
O1 O 0.0000 0.0000 0.6336
```

***

[6]
Theoretical X-ray powder pattern
Compound: BrO
Radiation: Cu Kα X-rays
Structure: a DFT-relaxed cell (GGA-PBE, the Materials Project)
Peak positions follow from Bragg's law for the DFT cell and can differ from measured ones.

The 10 most intense peaks (2θ = 15–90°), in order of rising 2θ:
index, d (Å), 2theta, I/Imax
1 0 1, 2.953, 30.3, 740
0 0 3, 2.507, 35.8, 159
0 1 2, 2.442, 36.8, 1000
1 1 0, 1.854, 49.1, 414
1 0 4, 1.623, 56.7, 262
0 2 1, 1.570, 58.8, 119
1 1 3, 1.491, 62.3, 203
2 0 2, 1.477, 62.9, 188
2 1 1, 1.198, 80.1, 105
1 2 2, 1.155, 83.7, 166

Structure:
```
data_BrO
_chemical_formula_sum 'Br3 O3'
_symmetry_space_group_name_H-M 'R -3 m'
_symmetry_Int_Tables_number 166
_symmetry_space_group_name_Hall '-R 3 2"'
_cell_length_a 3.7075
_cell_length_b 3.7075
_cell_length_c 7.5216
_cell_angle_alpha 90.00
_cell_angle_beta 90.00
_cell_angle_gamma 120.00
loop_
_atom_site_label
_atom_site_type_symbol
_atom_site_fract_x
_atom_site_fract_y
_atom_site_fract_z
Br1 Br 0.0000 0.0000 0.0000
O1 O 0.0000 0.0000 0.5000
```

***

[7]
Theoretical X-ray powder pattern
Compound: PBr3O
Radiation: Cu Kα X-rays
Structure: a DFT-relaxed cell (GGA-PBE, the Materials Project)
Peak positions follow from Bragg's law for the DFT cell and can differ from measured ones.

The 10 most intense peaks (2θ = 15–90°), in order of rising 2θ:
index, d (Å), 2theta, I/Imax
2 0 1, 4.615, 19.2, 905
2 1 0, 4.040, 22.0, 1000
1 1 2, 3.826, 23.2, 638
2 1 1, 3.775, 23.6, 735
0 1 3, 3.111, 28.7, 826
3 1 0, 3.031, 29.5, 333
1 2 1, 2.998, 29.8, 486
1 1 3, 2.977, 30.0, 475
4 1 0, 2.388, 37.7, 470
3 2 3, 1.967, 46.2, 606

Structure:
```
data_PBr3O
_chemical_formula_sum 'P4 Br12 O4'
_symmetry_space_group_name_H-M 'P n a 21'
_symmetry_Int_Tables_number 33
_cell_length_a 10.252
_cell_length_b 6.564
_cell_length_c 10.600
_cell_angle_alpha 90.00
_cell_angle_beta 90.00
_cell_angle_gamma 90.00
loop_
_symmetry_equiv_pos_as_xyz
'x,y,z'
'-x,-y,z+1/2'
'-x+1/2,y+1/2,z+1/2'
'x+1/2,-y+1/2,z'
loop_
_atom_site_label
_atom_site_type_symbol
_atom_site_fract_x
_atom_site_fract_y
_atom_site_fract_z
P1 P 0.188 0.115 0.000
Br1 Br 0.025 0.898 0.005
Br2 Br 0.151 0.310 0.834
Br3 Br 0.159 0.318 0.163
O1 O 0.183 0.514 0.498
```

***

[8]
Theoretical X-ray powder pattern
Compound: PBr3O
Radiation: Cu Kα X-rays
Structure: a DFT-relaxed cell (GGA-PBE, the Materials Project)
Peak positions follow from Bragg's law for the DFT cell and can differ from measured ones.

The 10 most intense peaks (2θ = 15–90°), in order of rising 2θ:
index, d (Å), 2theta, I/Imax
0 1 1, 5.538, 16.0, 380
2 1 0, 4.677, 19.0, 943
2 0 1, 4.065, 21.9, 1000
1 2 1, 3.826, 23.2, 593
2 1 1, 3.797, 23.4, 686
0 3 1, 3.109, 28.7, 965
3 0 1, 3.063, 29.2, 298
1 1 2, 2.980, 30.0, 894
2 3 0, 2.929, 30.5, 300
3 3 2, 1.971, 46.0, 717

Structure:
```
data_PBr3O
_chemical_formula_sum 'P4 Br12 O4'
_symmetry_space_group_name_H-M 'P n m a'
_symmetry_Int_Tables_number 62
_cell_length_a 10.416
_cell_length_b 10.625
_cell_length_c 6.503
_cell_angle_alpha 90.00
_cell_angle_beta 90.00
_cell_angle_gamma 90.00
loop_
_symmetry_equiv_pos_as_xyz
'x,y,z'
'-x,-y,-z'
'-x+1/2,-y,z+1/2'
'x+1/2,y,-z+1/2'
'x+1/2,-y+1/2,-z+1/2'
'-x+1/2,y+1/2,z+1/2'
'-x,y+1/2,-z'
'x,-y+1/2,z'
loop_
_atom_site_label
_atom_site_type_symbol
_atom_site_fract_x
_atom_site_fract_y
_atom_site_fract_z
P1 P 0.188 0.250 0.111
Br1 Br 0.026 0.250 0.896
Br2 Br 0.153 0.087 0.311
O1 O 0.185 0.750 0.509
```